1.
This entry pairs a crystal structure of Gd3Ge13Ru4 with its simulated powder diffractogram. Radiation: Cu Kα X-rays. Structure: a structure optimized by DFT (PBE).

Peak list (10 most intense, 10 to 90 degrees two-theta, sorted by position)
2θ/deg	d_spacing	I/Imax
21.91	4.056	13
34.25	2.618	21
35.69	2.516	100
37.09	2.424	39
39.75	2.268	32
41.03	2.200	11
49.21	1.851	20
59.42	1.556	13
63.19	1.471	14
68.63	1.367	21

Structural model:
```
Gd3Ge13Ru4
1.0
9.070 0.000 0.000
0.000 9.070 0.000
0.000 0.000 9.070
Gd Ge Ru
6 26 8
Cartesian
0.000 2.268 4.535
0.000 6.803 4.535
2.268 4.535 0.000
4.535 0.000 2.268
4.535 0.000 6.803
6.803 4.535 0.000
0.000 0.000 0.000
0.000 2.775 1.346
0.000 2.775 7.724
0.000 6.295 1.346
0.000 6.295 7.724
1.346 0.000 2.775
1.346 0.000 6.295
1.760 4.535 3.189
1.760 4.535 5.882
2.775 1.346 0.000
2.775 7.724 0.000
3.189 1.760 4.535
3.189 7.311 4.535
4.535 3.189 1.760
4.535 3.189 7.311
4.535 4.535 4.535
4.535 5.882 1.760
4.535 5.882 7.311
5.882 1.760 4.535
5.882 7.311 4.535
6.295 1.346 0.000
6.295 7.724 0.000
7.311 4.535 3.189
7.311 4.535 5.882
7.724 0.000 2.775
7.724 0.000 6.295
2.268 2.268 2.268
2.268 2.268 6.803
2.268 6.803 2.268
2.268 6.803 6.803
6.803 2.268 2.268
6.803 2.268 6.803
6.803 6.803 2.268
6.803 6.803 6.803
```

2.
This entry pairs a crystal structure of NaMg6Mn with its simulated powder diffractogram. Radiation: Cu Kα X-rays. Structure: a structure optimized by DFT (PBE).

Peak list (10 most intense, 10 to 90 degrees two-theta, sorted by position)
2θ/deg	d_spacing	I/Imax
15.93	5.562	13
32.18	2.781	25
35.33	2.541	37
36.84	2.440	100
37.31	2.410	47
48.53	1.876	15
58.05	1.589	16
64.40	1.447	18
69.82	1.347	18
70.17	1.341	13

Structural model:
```
NaMg6Mn
1.0
5.081 0.000 0.000
0.000 3.229 5.475
0.000 -3.229 5.475
Na Mg Mn
1 6 1
Cartesian
0.000 0.000 0.000
0.000 -1.615 8.197
0.000 1.615 8.197
2.541 0.000 3.682
2.541 -1.551 6.364
2.541 1.551 6.364
2.541 0.000 9.092
0.000 0.000 5.484
```

3.
This entry pairs a crystal structure of Nd3Pt4 with its simulated powder diffractogram. Radiation: Cu Kα X-rays. Structure: a structure optimized by DFT (PBE).

Peak list (10 most intense, 10 to 90 degrees two-theta, sorted by position)
2θ/deg	d_spacing	I/Imax
31.14	2.873	27
34.17	2.624	15
34.57	2.595	100
36.34	2.472	22
36.67	2.451	75
41.26	2.188	23
49.14	1.854	12
51.28	1.782	16
63.10	1.473	12
63.32	1.469	12

Structural model:
```
Nd3Pt4
1.0
6.865 3.963 1.949
-6.865 3.963 1.949
0.000 -7.927 1.949
Nd Pt
6 8
Cartesian
-1.730 -1.982 1.396
-0.852 2.489 1.396
2.582 -0.507 1.396
-2.582 0.507 4.453
0.852 -2.489 4.453
1.730 1.982 4.453
0.000 0.000 0.000
-3.400 0.662 1.628
1.127 -3.276 1.628
-2.274 -2.614 4.220
0.000 0.000 2.924
2.274 2.614 1.628
-1.127 3.276 4.220
3.400 -0.662 4.220
```

4.
This entry pairs a crystal structure of HoF3 with its simulated powder diffractogram. Radiation: Cu Kα X-rays. Structure: a structure optimized by DFT (PBE).

Peak list (10 most intense, 10 to 90 degrees two-theta, sorted by position)
2θ/deg	d_spacing	I/Imax
23.88	3.726	24
24.49	3.635	64
25.84	3.449	66
27.74	3.216	100
30.94	2.890	71
35.90	2.502	27
45.32	2.001	24
46.75	1.943	41
47.52	1.914	27
48.87	1.863	50

Structural model:
```
HoF3
1.0
6.366 0.000 0.000
0.000 6.897 0.000
0.000 0.000 4.428
Ho F
4 12
Cartesian
0.837 1.724 0.265
2.346 5.173 2.479
4.020 1.724 1.949
5.529 5.173 4.163
0.150 5.173 1.812
1.050 3.885 3.885
1.050 6.460 3.885
2.133 0.437 1.671
2.133 3.012 1.671
3.033 1.724 4.026
3.333 5.173 0.402
4.232 3.885 2.757
4.232 6.460 2.757
5.316 0.437 0.543
5.316 3.012 0.543
6.216 1.724 2.615
```

5.
This entry pairs a crystal structure of HoAl2Ge2 with its simulated powder diffractogram. Radiation: Cu Kα X-rays. Structure: a structure optimized by DFT (PBE).

Peak list (10 most intense, 10 to 90 degrees two-theta, sorted by position)
2θ/deg	d_spacing	I/Imax
13.47	6.571	30
27.57	3.235	100
36.50	2.462	69
42.11	2.146	51
48.22	1.887	20
51.07	1.788	18
56.92	1.618	19
68.27	1.374	15
73.28	1.292	18
76.95	1.239	16

Structural model:
```
HoAl2Ge2
1.0
4.292 0.000 0.000
-2.146 3.717 0.000
0.000 0.000 6.571
Ho Al Ge
1 2 2
Cartesian
0.000 0.000 0.000
0.000 2.478 4.238
2.146 1.239 2.334
0.000 2.478 1.684
2.146 1.239 4.887
```

6.
This entry pairs a crystal structure of ErIn2Ni9 with its simulated powder diffractogram. Radiation: Cu Kα X-rays. Structure: a structure optimized by DFT (PBE).

Peak list (10 most intense, 10 to 90 degrees two-theta, sorted by position)
2θ/deg	d_spacing	I/Imax
30.61	2.920	18
34.37	2.609	26
36.06	2.491	23
39.33	2.291	100
43.73	2.070	27
43.85	2.065	34
45.16	2.008	62
45.31	2.001	28
49.38	1.846	22
69.00	1.361	17

Structural model:
```
ErIn2Ni9
1.0
8.252 0.000 0.000
0.000 8.252 0.000
0.000 0.000 4.786
Er In Ni
2 4 18
Cartesian
0.000 0.000 0.000
4.126 4.126 0.000
1.032 3.094 0.000
3.094 7.220 0.000
5.158 1.032 0.000
7.220 5.158 0.000
0.000 4.126 2.393
0.522 1.697 2.393
1.457 5.583 1.186
1.457 5.583 3.600
1.697 7.730 2.393
2.429 3.604 2.393
2.669 1.457 1.186
2.669 1.457 3.600
3.604 5.823 2.393
4.126 0.000 2.393
4.647 2.429 2.393
5.583 6.795 1.186
5.583 6.795 3.600
5.823 4.647 2.393
6.555 0.522 2.393
6.795 2.669 1.186
6.795 2.669 3.600
7.730 6.555 2.393
```

7.
This entry pairs a crystal structure of HfTiSe4 with its simulated powder diffractogram. Radiation: Cu Kα X-rays. Structure: a structure optimized by DFT (PBE).

Peak list (10 most intense, 10 to 90 degrees two-theta, sorted by position)
2θ/deg	d_spacing	I/Imax
13.47	6.574	94
14.04	6.307	16
19.50	4.552	19
31.25	2.862	100
31.45	2.844	49
39.43	2.285	64
39.60	2.276	31
49.50	1.841	17
49.96	1.826	32
50.57	1.805	29

Structural model:
```
HfTiSe4
1.0
6.307 0.000 0.000
0.000 3.683 0.000
-0.008 0.000 6.574
Hf Ti Se
1 1 4
Cartesian
0.000 0.000 0.000
3.153 1.841 0.000
1.106 1.841 1.590
2.157 0.000 5.024
4.142 0.000 1.550
5.193 1.841 4.984
```